Starting from a structure optimized by DFT (GGA+U), the powder XRD pattern of La2Ti3VO10 was calculated for Cu Ka.

Structural model:
Lattice parameters (Å, degrees): 3.9493 3.9493 24.8381 90.00 90.00 90.00
Space group I-4m2 (No. 119)
Unique sites:
La 0.0000 0.0000 0.0847 x4
Ti 0.0000 0.0000 0.3381 x4
Ti 0.0000 0.0000 0.5000 x2
V 0.0000 0.5000 0.2500 x2
O 0.0000 0.0000 0.2630 x4
O 0.0000 0.0000 0.4220 x4
O 0.0000 0.5000 0.0025 x4
O 0.0000 0.5000 0.1597 x4
O 0.0000 0.5000 0.6446 x4

Peak list (10 most intense, 2θ from 5° to 70°, low angle first)
7.1 deg, rel. 37, hkl 0 0 2
22.8 deg, rel. 23, hkl 1 0 1
28.9 deg, rel. 100, hkl 1 0 5
32.1 deg, rel. 42, hkl 1 1 0
34.0 deg, rel. 54, hkl 1 0 7
38.9 deg, rel. 23, hkl 1 1 6
43.7 deg, rel. 24, hkl 0 0 12
46.0 deg, rel. 52, hkl 2 0 0
55.2 deg, rel. 32, hkl 2 1 5
65.3 deg, rel. 26, hkl 2 0 12